1.
Starting from a cell relaxed with PBE, the PXRD pattern of YSc3 was calculated for λ = 1.5418 Å (Cu Kα).
Kinematic intensities with the Lorentz-polarization factor, no thermal factor.

Principal peaks in the range 10 to 80 degrees two-theta, low angle first:
| Position (°2θ) | I/Imax | (hkl) |
| --- | --- | --- |
| 18.79 | 12 | 1 0 0 |
| 26.69 | 11 | 1 1 0 |
| 32.84 | 100 | 1 1 1 |
| 38.10 | 49 | 2 0 0 |
| 42.81 | 6 | 2 1 0 |
| 47.13 | 5 | 2 1 1 |
| 54.98 | 31 | 2 2 0 |
| 58.63 | 3 | 3 0 0 |
| 62.14 | 2 | 3 1 0 |
| 65.54 | 35 | 3 1 1 |
| 68.85 | 10 | 2 2 2 |
| 75.27 | 2 | 3 2 1 |

Atomic structure:
Cell lengths 4.7238, 4.7238, 4.7238 Å; angles 90.00, 90.00, 90.00 degrees
Space group Pm-3m (No. 221)
Inequivalent atoms, fractional coordinates:
Y (0.0000, 0.0000, 0.0000) [1 per cell]
Sc (0.0000, 0.5000, 0.5000) [3 per cell]

2.
Starting from a cell relaxed with PBE, the PXRD pattern of Y2Sc was calculated for λ = 1.5418 Å (Cu Kα).
Kinematic intensities with the Lorentz-polarization factor, no thermal factor.

Principal peaks in the range 10 to 80 degrees two-theta, low angle first:
| Position (°2θ) | I/Imax | (hkl) |
| --- | --- | --- |
| 29.07 | 21 | 1 1 1 |
| 29.18 | 12 | 2 0 2 |
| 32.56 | 28 | 4 0 -2 |
| 33.43 | 100 | 3 1 0 |
| 33.53 | 19 | 0 0 3 |
| 44.22 | 16 | 6 0 0 |
| 51.47 | 8 | 0 2 0 |
| 51.67 | 14 | 3 1 3 |
| 58.65 | 18 | 7 1 -2 |
| 62.24 | 8 | 4 2 -2 |
| 62.41 | 15 | 7 1 1 |
| 62.82 | 12 | 4 2 1 |

Atomic structure:
Cell lengths 12.5954, 3.5510, 8.2241 Å; angles 90.00, 102.82, 90.00 degrees
Space group Cm (No. 8)
Inequivalent atoms, fractional coordinates:
Y (0.0000, 0.0000, 0.0000) [2 per cell]
Y (0.0513, 0.0000, 0.6027) [2 per cell]
Y (0.2230, 0.5000, 0.9333) [2 per cell]
Y (0.3797, 0.0000, 0.2782) [2 per cell]
Sc (0.1640, 0.5000, 0.3351) [2 per cell]
Sc (0.3280, 0.0000, 0.6553) [2 per cell]

3.
Starting from a cell relaxed with PBE, the PXRD pattern of YSc3 was calculated for λ = 1.5418 Å (Cu Kα).
Kinematic intensities with the Lorentz-polarization factor, no thermal factor.

Principal peaks in the range 10 to 80 degrees two-theta, low angle first:
| Position (°2θ) | I/Imax | (hkl) |
| --- | --- | --- |
| 16.29 | 22 | 1 1 0 |
| 32.80 | 100 | 0 2 1 |
| 32.92 | 99 | 2 2 0 |
| 38.00 | 65 | 2 0 1 |
| 38.38 | 32 | 0 4 0 |
| 54.66 | 11 | 0 0 2 |
| 54.99 | 10 | 4 0 0 |
| 55.11 | 41 | 2 4 1 |
| 65.31 | 24 | 2 2 2 |
| 65.53 | 24 | 4 2 1 |
| 65.93 | 23 | 2 6 0 |
| 68.76 | 10 | 0 4 2 |

Atomic structure:
Cell lengths 6.6790, 9.3825, 3.3581 Å; angles 90.00, 90.00, 90.00 degrees
Space group Cmmm (No. 65)
Inequivalent atoms, fractional coordinates:
Y (0.0000, 0.0000, 0.0000) [2 per cell]
Sc (0.0000, 0.5000, 0.0000) [2 per cell]
Sc (0.2500, 0.2500, 0.5000) [4 per cell]

4.
Starting from a cell relaxed with PBE, the PXRD pattern of YScZn4 was calculated for λ = 1.5418 Å (Cu Kα).
Kinematic intensities with the Lorentz-polarization factor, no thermal factor.

Principal peaks in the range 10 to 80 degrees two-theta, low angle first:
| Position (°2θ) | I/Imax | (hkl) |
| --- | --- | --- |
| 20.27 | 10 | 1 1 1 |
| 23.44 | 4 | 2 0 0 |
| 33.39 | 25 | 2 2 0 |
| 39.38 | 100 | 3 1 1 |
| 41.20 | 43 | 2 2 2 |
| 47.95 | 6 | 4 0 0 |
| 52.56 | 3 | 3 3 1 |
| 59.69 | 9 | 4 2 2 |
| 63.72 | 30 | 5 1 1 |
| 70.14 | 25 | 4 4 0 |
| 73.87 | 2 | 5 3 1 |
| 79.95 | 4 | 6 2 0 |

Atomic structure:
Cell lengths 7.5895, 7.5895, 7.5895 Å; angles 90.00, 90.00, 90.00 degrees
Space group F-43m (No. 216)
Inequivalent atoms, fractional coordinates:
Y (0.0000, 0.0000, 0.0000) [4 per cell]
Sc (0.2500, 0.2500, 0.7500) [4 per cell]
Zn (0.1246, 0.1246, 0.3754) [16 per cell]

5.
Starting from a cell relaxed with PBE, the PXRD pattern of Y4ZrSc6 was calculated for λ = 1.5418 Å (Cu Kα).
Kinematic intensities with the Lorentz-polarization factor, no thermal factor.

Principal peaks in the range 10 to 80 degrees two-theta, low angle first:
| Position (°2θ) | I/Imax | (hkl) |
| --- | --- | --- |
| 23.49 | 12 | 2 1 0 |
| 29.84 | 10 | 2 2 0 |
| 32.06 | 100 | 2 1 2 |
| 33.46 | 61 | 3 1 0 |
| 34.23 | 8 | 1 0 3 |
| 40.49 | 10 | 2 1 3 |
| 43.82 | 10 | 0 0 4 |
| 48.04 | 9 | 4 2 0 |
| 49.56 | 11 | 4 1 2 |
| 56.23 | 14 | 3 1 4 |
| 63.27 | 19 | 5 2 2 |
| 73.10 | 8 | 2 1 6 |

Atomic structure:
Cell lengths 8.4693, 8.4693, 8.2645 Å; angles 90.00, 90.00, 90.00 degrees
Space group P4/mnc (No. 128)
Inequivalent atoms, fractional coordinates:
Y (0.1503, 0.3497, 0.2500) [8 per cell]
Zr (0.0000, 0.0000, 0.0000) [2 per cell]
Sc (0.0000, 0.0000, 0.3326) [4 per cell]
Sc (0.1485, 0.6511, 0.5000) [8 per cell]

6.
Starting from a cell relaxed with PBE, the PXRD pattern of YZr2Sc7 was calculated for λ = 1.5418 Å (Cu Kα).
Kinematic intensities with the Lorentz-polarization factor, no thermal factor.

Principal peaks in the range 10 to 80 degrees two-theta, low angle first:
| Position (°2θ) | I/Imax | (hkl) |
| --- | --- | --- |
| 11.83 | 22 | 0 0 2 |
| 13.87 | 16 | 0 1 1 |
| 22.02 | 35 | 1 1 0 |
| 25.23 | 27 | 0 2 0 |
| 31.77 | 47 | 1 2 1 |
| 32.64 | 100 | 1 1 4 |
| 34.96 | 38 | 0 2 4 |
| 35.10 | 32 | 1 0 5 |
| 36.13 | 49 | 1 2 3 |
| 36.53 | 50 | 2 0 0 |
| 42.59 | 25 | 1 3 0 |
| 51.46 | 24 | 2 2 4 |

Atomic structure:
Cell lengths 4.9193, 7.0585, 14.9603 Å; angles 90.00, 90.00, 90.00 degrees
Space group Immm (No. 71)
Inequivalent atoms, fractional coordinates:
Y (0.0000, 0.0000, 0.0000) [2 per cell]
Zr (0.0000, 0.0000, 0.2140) [4 per cell]
Sc (0.0000, 0.0000, 0.5000) [2 per cell]
Sc (0.0000, 0.2957, 0.3631) [8 per cell]
Sc (0.0000, 0.5000, 0.1609) [4 per cell]

7.
Starting from a cell relaxed with PBE, the PXRD pattern of YZr4Sc4 was calculated for λ = 1.5418 Å (Cu Kα).
Kinematic intensities with the Lorentz-polarization factor, no thermal factor.

Principal peaks in the range 10 to 80 degrees two-theta, low angle first:
| Position (°2θ) | I/Imax | (hkl) |
| --- | --- | --- |
| 17.87 | 18 | 2 0 0 |
| 21.32 | 12 | 2 0 1 |
| 32.85 | 72 | 3 1 0 |
| 34.86 | 100 | 1 1 -3 |
| 35.23 | 28 | 3 1 1 |
| 36.15 | 35 | 2 0 3 |
| 37.37 | 43 | 0 2 0 |
| 39.08 | 15 | 4 0 -2 |
| 44.03 | 12 | 4 0 -3 |
| 52.97 | 22 | 2 2 3 |
| 64.56 | 11 | 3 3 0 |
| 65.79 | 14 | 1 3 -3 |

Atomic structure:
Cell lengths 9.9986, 4.8131, 9.3028 Å; angles 90.00, 96.91, 90.00 degrees
Space group C2/m (No. 12)
Inequivalent atoms, fractional coordinates:
Y (0.0000, 0.0000, 0.0000) [2 per cell]
Zr (0.1907, 0.5000, 0.8947) [4 per cell]
Zr (0.2179, 0.5000, 0.5756) [4 per cell]
Sc (0.0519, 0.0000, 0.6614) [4 per cell]
Sc (0.1377, 0.5000, 0.2343) [4 per cell]

8.
Starting from a cell relaxed with PBE, the PXRD pattern of ScZn3 was calculated for λ = 1.5418 Å (Cu Kα).
Kinematic intensities with the Lorentz-polarization factor, no thermal factor.

Principal peaks in the range 10 to 80 degrees two-theta, low angle first:
| Position (°2θ) | I/Imax | (hkl) |
| --- | --- | --- |
| 13.59 | 24 | 0 0 1 |
| 22.51 | 25 | 1 0 1 |
| 35.01 | 26 | 0 1 2 |
| 38.80 | 15 | 2 0 1 |
| 39.56 | 100 | 1 1 2 |
| 42.39 | 17 | 2 1 0 |
| 43.57 | 40 | 0 2 0 |
| 44.72 | 52 | 2 1 1 |
| 47.23 | 16 | 0 1 3 |
| 67.31 | 19 | 3 1 2 |
| 68.95 | 14 | 2 0 4 |
| 76.68 | 15 | 4 0 0 |

Atomic structure:
Cell lengths 4.9685, 4.1544, 6.5143 Å; angles 90.00, 90.00, 90.00 degrees
Space group Pmma (No. 51)
Inequivalent atoms, fractional coordinates:
Sc (0.2500, 0.0000, 0.1765) [2 per cell]
Zn (0.0000, 0.5000, 0.5000) [2 per cell]
Zn (0.2500, 0.0000, 0.6305) [2 per cell]
Zn (0.2500, 0.5000, 0.8800) [2 per cell]

9.
Starting from a cell relaxed with PBE, the PXRD pattern of Sc3Zn11 was calculated for λ = 1.5418 Å (Cu Kα).
Kinematic intensities with the Lorentz-polarization factor, no thermal factor.

Principal peaks in the range 10 to 80 degrees two-theta, low angle first:
| Position (°2θ) | I/Imax | (hkl) |
| --- | --- | --- |
| 24.02 | 22 | 0 1 3 |
| 35.69 | 38 | 0 2 4 |
| 36.59 | 100 | 1 2 3 |
| 37.04 | 26 | 1 3 0 |
| 37.52 | 41 | 1 1 4 |
| 39.96 | 53 | 1 3 2 |
| 42.19 | 72 | 2 0 0 |
| 44.40 | 31 | 0 0 6 |
| 46.86 | 48 | 1 4 1 |
| 47.83 | 48 | 1 3 4 |
| 62.91 | 21 | 2 0 6 |
| 72.36 | 31 | 1 4 7 |

Atomic structure:
Cell lengths 4.2838, 8.8368, 12.2425 Å; angles 90.00, 90.00, 90.00 degrees
Space group Immm (No. 71)
Inequivalent atoms, fractional coordinates:
Sc (0.0000, 0.0000, 0.0000) [2 per cell]
Sc (0.0000, 0.0000, 0.2861) [4 per cell]
Zn (0.0000, 0.1701, 0.5000) [4 per cell]
Zn (0.0000, 0.2815, 0.1406) [8 per cell]
Zn (0.0000, 0.3631, 0.3470) [8 per cell]
Zn (0.0000, 0.5000, 0.0000) [2 per cell]

10.
Starting from a cell relaxed with PBE, the PXRD pattern of Sc4Zn was calculated for λ = 1.5418 Å (Cu Kα).
Kinematic intensities with the Lorentz-polarization factor, no thermal factor.

Principal peaks in the range 10 to 80 degrees two-theta, low angle first:
| Position (°2θ) | I/Imax | (hkl) |
| --- | --- | --- |
| 32.97 | 21 | 4 0 0 |
| 34.75 | 29 | 3 3 1 |
| 35.20 | 29 | 4 2 0 |
| 35.42 | 100 | 1 5 1 |
| 36.40 | 74 | 2 0 2 |
| 38.46 | 16 | 2 2 2 |
| 42.75 | 33 | 3 5 1 |
| 48.65 | 11 | 5 3 1 |
| 59.66 | 18 | 1 5 3 |
| 62.54 | 10 | 6 2 2 |
| 65.52 | 12 | 2 10 0 |
| 72.56 | 11 | 0 10 2 |

Atomic structure:
Cell lengths 10.8684, 14.7631, 5.5407 Å; angles 90.00, 90.00, 90.00 degrees
Space group Fdd2 (No. 43)
Inequivalent atoms, fractional coordinates:
Sc (0.0427, 0.1987, 0.0000) [16 per cell]
Sc (0.0506, 0.0992, 0.4964) [16 per cell]
Zn (0.0000, 0.0000, 0.0321) [8 per cell]

11.
Starting from a cell relaxed with PBE, the PXRD pattern of Sc13Zn2 was calculated for λ = 1.5418 Å (Cu Kα).
Kinematic intensities with the Lorentz-polarization factor, no thermal factor.

Principal peaks in the range 10 to 80 degrees two-theta, low angle first:
| Position (°2θ) | I/Imax | (hkl) |
| --- | --- | --- |
| 28.48 | 22 | 1 2 2 |
| 32.60 | 28 | 0 1 3 |
| 33.65 | 80 | 1 1 -2 |
| 34.28 | 57 | -2 1 1 |
| 34.43 | 43 | 2 2 1 |
| 35.20 | 100 | 0 3 2 |
| 35.34 | 37 | 1 3 1 |
| 36.35 | 53 | 1 1 3 |
| 36.89 | 19 | 2 1 2 |
| 37.63 | 40 | -2 1 2 |
| 39.39 | 45 | 1 -2 1 |
| 41.08 | 22 | 2 1 -2 |

Atomic structure:
Cell lengths 6.0770, 7.9200, 8.2895 Å; angles 63.06, 89.80, 79.30 degrees
Space group P-1 (No. 2)
Inequivalent atoms, fractional coordinates:
Sc (0.0000, 0.0000, 0.0000) [1 per cell]
Sc (0.0292, 0.5000, 0.7072) [2 per cell]
Sc (0.2379, 0.0142, 0.5698) [2 per cell]
Sc (0.2592, 0.2121, 0.1518) [2 per cell]
Sc (0.2752, 0.6509, 0.9598) [2 per cell]
Sc (0.4453, 0.1726, 0.8145) [2 per cell]
Sc (0.4808, 0.3927, 0.3787) [2 per cell]
Zn (0.1511, 0.7751, 0.3622) [2 per cell]

Copy entry 3 word for word.
Starting from a cell relaxed with PBE, the PXRD pattern of YSc3 was calculated for λ = 1.5418 Å (Cu Kα).
Kinematic intensities with the Lorentz-polarization factor, no thermal factor.

Principal peaks in the range 10 to 80 degrees two-theta, low angle first:
| Position (°2θ) | I/Imax | (hkl) |
| --- | --- | --- |
| 16.29 | 22 | 1 1 0 |
| 32.80 | 100 | 0 2 1 |
| 32.92 | 99 | 2 2 0 |
| 38.00 | 65 | 2 0 1 |
| 38.38 | 32 | 0 4 0 |
| 54.66 | 11 | 0 0 2 |
| 54.99 | 10 | 4 0 0 |
| 55.11 | 41 | 2 4 1 |
| 65.31 | 24 | 2 2 2 |
| 65.53 | 24 | 4 2 1 |
| 65.93 | 23 | 2 6 0 |
| 68.76 | 10 | 0 4 2 |

Atomic structure:
Cell lengths 6.6790, 9.3825, 3.3581 Å; angles 90.00, 90.00, 90.00 degrees
Space group Cmmm (No. 65)
Inequivalent atoms, fractional coordinates:
Y (0.0000, 0.0000, 0.0000) [2 per cell]
Sc (0.0000, 0.5000, 0.0000) [2 per cell]
Sc (0.2500, 0.2500, 0.5000) [4 per cell]